Entry 1:
# Rb2SrHg2S4
Simulated X-ray powder pattern, copper Kα. Input: a crystal structure in Alexandria, relaxed with PBE.
Lines closer than 0.1° are merged.

Atomic structure:
```
data_Rb2SrHg2S4
_symmetry_space_group_name_H-M 'C 1 2/m 1'
_symmetry_Int_Tables_number 12
_cell_length_a 16.464
_cell_length_b 4.310
_cell_length_c 8.022
_cell_angle_alpha 90.00
_cell_angle_beta 109.46
_cell_angle_gamma 90.00
loop_
_symmetry_equiv_pos_as_xyz
'x,y,z'
'-x,-y,-z'
'-x,y,-z'
'x,-y,z'
'x+1/2,y+1/2,z'
'-x+1/2,-y+1/2,-z'
'-x+1/2,y+1/2,-z'
'x+1/2,-y+1/2,z'
loop_
_atom_site_label
_atom_site_type_symbol
_atom_site_fract_x
_atom_site_fract_y
_atom_site_fract_z
Rb1 Rb 0.125 0.000 0.052
Sr1 Sr 0.000 0.000 0.500
Hg1 Hg 0.166 0.500 0.487
S1 S 0.019 0.500 0.256
S2 S 0.208 0.000 0.685
```

Principal peaks in the range 10° ≤ 2θ ≤ 90°, sorted by position:
index  Position (°2θ)  I_rel
0 0 1  11.70  100.0
2 0 -1  13.35  23.1
0 0 2  23.52  52.2
1 1 1  25.37  23.0
4 0 -2  26.90  28.7
3 1 -1  26.99  67.2
3 1 1  31.72  66.8
3 1 -2  31.90  44.0
6 0 -1  32.63  23.7
3 1 -3  40.08  25.2
0 2 0  41.92  23.7
3 1 3  49.91  22.4

Entry 2:
# AcTbPd4
Simulated X-ray powder pattern, copper Kα. Input: a crystal structure in Alexandria, relaxed with PBE.
Lines closer than 0.1° are merged.

Atomic structure:
```
data_AcTbPd4
_symmetry_space_group_name_H-M 'C m c m'
_symmetry_Int_Tables_number 63
_symmetry_space_group_name_Hall '-C 2c 2'
_cell_length_a 4.315
_cell_length_b 20.345
_cell_length_c 5.845
_cell_angle_alpha 90.00
_cell_angle_beta 90.00
_cell_angle_gamma 90.00
loop_
_atom_site_label
_atom_site_type_symbol
_atom_site_fract_x
_atom_site_fract_y
_atom_site_fract_z
Ac1 Ac 0.000 0.218 0.250
Tb1 Tb 0.000 0.073 0.750
Pd1 Pd 0.000 0.069 0.250
Pd2 Pd 0.000 0.360 0.504
Pd3 Pd 0.000 0.500 0.000
```

Principal peaks in the range 10° ≤ 2θ ≤ 90°, sorted by position:
index  Position (°2θ)  I_rel
0 4 1  23.18  21.5
1 1 1  26.04  27.4
1 3 1  28.89  33.0
1 7 0  37.30  100.0
1 1 2  37.43  85.3
0 6 2  40.76  35.9
2 0 0  41.87  36.7
0 8 2  47.37  25.3
2 6 2  59.86  24.5
2 8 2  65.05  19.5
3 7 0  73.50  25.2
1 7 4  76.19  24.6

Entry 3:
# DyEr4In2
Simulated X-ray powder pattern, copper Kα. Input: a crystal structure in Alexandria, relaxed with PBE.
Lines closer than 0.1° are merged.

Atomic structure:
```
data_DyEr4In2
_symmetry_space_group_name_H-M 'P 1 21/c 1'
_symmetry_Int_Tables_number 14
_cell_length_a 6.682
_cell_length_b 10.608
_cell_length_c 6.774
_cell_angle_alpha 90.00
_cell_angle_beta 118.73
_cell_angle_gamma 90.00
loop_
_symmetry_equiv_pos_as_xyz
'x,y,z'
'-x,-y,-z'
'-x,y+1/2,-z+1/2'
'x,-y+1/2,z+1/2'
loop_
_atom_site_label
_atom_site_type_symbol
_atom_site_fract_x
_atom_site_fract_y
_atom_site_fract_z
Dy1 Dy 0.000 0.000 0.000
Er1 Er 0.072 0.169 0.530
Er2 Er 0.408 0.739 0.457
In1 In 0.469 0.512 0.215
```

Principal peaks in the range 10° ≤ 2θ ≤ 90°, sorted by position:
index  Position (°2θ)  I_rel
0 3 1  29.40  42.5
1 3 -1  29.60  100.0
0 0 2  30.09  42.5
2 0 0  30.51  72.5
1 2 -2  31.33  95.5
2 1 0  31.68  82.2
0 2 2  34.61  49.4
2 2 -2  35.33  46.0
1 3 1  36.51  55.4
1 4 0  37.21  36.5
2 0 -4  54.18  56.4
1 6 -2  58.93  43.7

Entry 4:
# Li4CO4
Simulated X-ray powder pattern, copper Kα. Input: a crystal structure in Alexandria, relaxed with PBE.
Lines closer than 0.1° are merged.

Atomic structure:
```
data_Li4CO4
_symmetry_space_group_name_H-M 'R 3 m'
_symmetry_Int_Tables_number 160
_symmetry_space_group_name_Hall 'R 3 -2"'
_cell_length_a 7.5613
_cell_length_b 7.5613
_cell_length_c 5.5745
_cell_angle_alpha 90.00
_cell_angle_beta 90.00
_cell_angle_gamma 120.00
loop_
_atom_site_label
_atom_site_type_symbol
_atom_site_fract_x
_atom_site_fract_y
_atom_site_fract_z
Li1 Li 0.0000 0.0000 0.0000
Li2 Li 0.1745 0.3490 0.2813
C1 C 0.0000 0.0000 0.3979
O1 O 0.0000 0.0000 0.6553
O2 O 0.2019 0.1009 0.3071
```

Principal peaks in the range 10° ≤ 2θ ≤ 90°, sorted by position:
index  Position (°2θ)  I_rel
1 0 1  20.93  100.0
1 1 0  23.53  64.6
0 2 1  31.69  21.2
0 1 2  34.99  12.7
3 0 0  41.36  19.5
2 2 0  48.14  8.7
0 0 3  49.02  12.4
1 3 1  53.03  20.6
4 0 1  58.79  6.4
3 1 2  60.88  8.8
0 3 3  66.03  7.9
0 4 2  66.20  5.5

Entry 5:
# RbCd2Te2
Simulated X-ray powder pattern, copper Kα. Input: a crystal structure in Alexandria, relaxed with PBE.
Lines closer than 0.1° are merged.

Atomic structure:
```
data_RbCd2Te2
_symmetry_space_group_name_H-M 'F d d d'
_symmetry_Int_Tables_number 70
_cell_length_a 10.342
_cell_length_b 12.289
_cell_length_c 12.334
_cell_angle_alpha 90.00
_cell_angle_beta 90.00
_cell_angle_gamma 90.00
loop_
_symmetry_equiv_pos_as_xyz
'x,y,z'
'-x,-y,-z'
'-x+1/4,-y+1/4,z'
'x+1/4,y+1/4,-z'
'x,-y+1/4,-z+1/4'
'-x,y+1/4,z+1/4'
'-x+1/4,y,-z+1/4'
'x+1/4,-y,z+1/4'
'x,y+1/2,z+1/2'
'-x,-y+1/2,-z+1/2'
'-x+1/4,-y+3/4,z+1/2'
'x+1/4,y+3/4,-z+1/2'
'x,-y+3/4,-z+3/4'
'-x,y+3/4,z+3/4'
'-x+1/4,y+1/2,-z+3/4'
'x+1/4,-y+1/2,z+3/4'
'x+1/2,y,z+1/2'
'-x+1/2,-y,-z+1/2'
'-x+3/4,-y+1/4,z+1/2'
'x+3/4,y+1/4,-z+1/2'
'x+1/2,-y+1/4,-z+3/4'
'-x+1/2,y+1/4,z+3/4'
'-x+3/4,y,-z+3/4'
'x+3/4,-y,z+3/4'
'x+1/2,y+1/2,z'
'-x+1/2,-y+1/2,-z'
'-x+3/4,-y+3/4,z'
'x+3/4,y+3/4,-z'
'x+1/2,-y+3/4,-z+1/4'
'-x+1/2,y+3/4,z+1/4'
'-x+3/4,y+1/2,-z+1/4'
'x+3/4,-y+1/2,z+1/4'
loop_
_atom_site_label
_atom_site_type_symbol
_atom_site_fract_x
_atom_site_fract_y
_atom_site_fract_z
Rb1 Rb 0.125 0.125 0.125
Cd1 Cd 0.125 0.267 0.625
Te1 Te 0.125 0.125 0.422
```

Principal peaks in the range 10° ≤ 2θ ≤ 90°, sorted by position:
index  Position (°2θ)  I_rel
1 1 1  13.29  58.7
0 2 2  20.40  37.3
2 2 0  22.47  100.0
1 3 1  24.45  57.0
0 0 4  28.96  47.7
1 3 3  32.03  99.8
4 0 0  34.72  77.6
2 4 2  37.02  73.3
1 1 5  38.22  24.5
3 3 3  40.63  64.0
4 0 4  45.81  43.4
2 6 0  47.76  30.3

Entry 6:
# V2IrRu
Simulated X-ray powder pattern, copper Kα. Input: a crystal structure in Alexandria, relaxed with PBE.
Lines closer than 0.1° are merged.

Atomic structure:
```
data_V2IrRu
_symmetry_space_group_name_H-M 'A m a 2'
_symmetry_Int_Tables_number 40
_cell_length_a 4.804
_cell_length_b 6.826
_cell_length_c 6.788
_cell_angle_alpha 90.00
_cell_angle_beta 90.00
_cell_angle_gamma 90.00
loop_
_symmetry_equiv_pos_as_xyz
'x,y,z'
'-x,-y,z'
'-x+1/2,y,z'
'x+1/2,-y,z'
'x,y+1/2,z+1/2'
'-x,-y+1/2,z+1/2'
'-x+1/2,y+1/2,z+1/2'
'x+1/2,-y+1/2,z+1/2'
loop_
_atom_site_label
_atom_site_type_symbol
_atom_site_fract_x
_atom_site_fract_y
_atom_site_fract_z
V1 V 0.000 0.000 0.000
V2 V 0.250 0.127 0.387
Ir1 Ir 0.250 0.266 0.755
Ru1 Ru 0.250 0.378 0.144
```

Principal peaks in the range 10° ≤ 2θ ≤ 90°, sorted by position:
index  Position (°2θ)  I_rel
0 2 0  26.18  75.5
0 0 2  26.26  29.0
2 0 0  37.40  90.5
1 2 2  42.02  68.1
1 3 1  46.15  98.2
2 0 2  46.30  100.0
2 2 2  53.93  12.4
3 2 2  70.63  12.9
1 5 1  73.45  14.8
3 3 1  73.64  29.2
1 1 5  73.82  49.5
0 4 4  79.68  13.4

Entry 7:
# RbHg2Pb
Simulated X-ray powder pattern, copper Kα. Input: a crystal structure in Alexandria, relaxed with PBE.
Lines closer than 0.1° are merged.

Atomic structure:
```
data_RbHg2Pb
_symmetry_space_group_name_H-M 'C m c m'
_symmetry_Int_Tables_number 63
_symmetry_space_group_name_Hall '-C 2c 2'
_cell_length_a 5.327
_cell_length_b 12.757
_cell_length_c 7.821
_cell_angle_alpha 90.00
_cell_angle_beta 90.00
_cell_angle_gamma 90.00
loop_
_atom_site_label
_atom_site_type_symbol
_atom_site_fract_x
_atom_site_fract_y
_atom_site_fract_z
Rb1 Rb 0.000 0.074 0.250
Hg1 Hg 0.000 0.377 0.053
Pb1 Pb 0.000 0.216 0.750
```

Principal peaks in the range 10° ≤ 2θ ≤ 90°, sorted by position:
index  Position (°2θ)  I_rel
0 2 1  17.95  13.4
1 1 0  18.05  17.3
1 3 0  26.79  12.1
1 1 2  29.19  100.0
2 0 0  33.65  34.6
1 3 2  35.45  26.4
0 4 2  36.35  21.3
1 5 0  39.13  47.4
2 4 2  50.37  17.1
1 7 0  53.11  14.8
3 1 2  57.46  15.2
1 3 5  66.01  12.4

Entry 8:
# LaPmAs2Rh5
Simulated X-ray powder pattern, copper Kα. Input: a crystal structure in Alexandria, relaxed with PBE.
Lines closer than 0.1° are merged.

Atomic structure:
```
data_LaPmAs2Rh5
_symmetry_space_group_name_H-M 'P 4/m m m'
_symmetry_Int_Tables_number 123
_symmetry_space_group_name_Hall '-P 4 2'
_cell_length_a 4.292
_cell_length_b 4.292
_cell_length_c 8.992
_cell_angle_alpha 90.00
_cell_angle_beta 90.00
_cell_angle_gamma 90.00
loop_
_atom_site_label
_atom_site_type_symbol
_atom_site_fract_x
_atom_site_fract_y
_atom_site_fract_z
La1 La 0.000 0.000 0.000
Pm1 Pm 0.000 0.000 0.500
As1 As 0.500 0.500 0.154
Rh1 Rh 0.000 0.500 0.271
Rh2 Rh 0.500 0.500 0.500
```

Principal peaks in the range 10° ≤ 2θ ≤ 90°, sorted by position:
index  Position (°2θ)  I_rel
1 0 2  28.76  17.5
1 1 2  35.69  100.0
1 0 3  36.57  10.3
0 0 4  40.11  13.4
2 0 0  42.11  53.3
1 1 3  42.38  20.4
1 0 4  45.55  7.8
2 0 4  59.56  16.6
2 2 0  61.06  17.5
1 1 6  70.02  16.9
3 1 2  72.78  24.2
2 2 4  75.60  8.1

Entry 9:
# Zn6Ir2Au
Simulated X-ray powder pattern, copper Kα. Input: a crystal structure in Alexandria, relaxed with PBE.
Lines closer than 0.1° are merged.

Atomic structure:
```
data_Zn6Ir2Au
_symmetry_space_group_name_H-M 'C 1 2/m 1'
_symmetry_Int_Tables_number 12
_cell_length_a 13.318
_cell_length_b 7.182
_cell_length_c 2.867
_cell_angle_alpha 90.00
_cell_angle_beta 90.69
_cell_angle_gamma 90.00
loop_
_symmetry_equiv_pos_as_xyz
'x,y,z'
'-x,-y,-z'
'-x,y,-z'
'x,-y,z'
'x+1/2,y+1/2,z'
'-x+1/2,-y+1/2,-z'
'-x+1/2,y+1/2,-z'
'x+1/2,-y+1/2,z'
loop_
_atom_site_label
_atom_site_type_symbol
_atom_site_fract_x
_atom_site_fract_y
_atom_site_fract_z
Zn1 Zn 0.000 0.172 0.000
Zn2 Zn 0.166 0.312 0.494
Ir1 Ir 0.186 0.000 0.998
Au1 Au 0.000 0.500 0.500
```

Principal peaks in the range 10° ≤ 2θ ≤ 90°, sorted by position:
index  Position (°2θ)  I_rel
3 1 0  23.56  71.8
0 2 0  24.79  19.4
1 1 -1  34.26  46.3
1 1 1  34.42  45.8
6 0 0  40.65  52.8
2 2 -1  42.44  47.5
2 2 1  42.70  43.7
3 3 0  42.92  100.0
5 1 -1  48.04  35.0
5 1 1  48.62  32.7
0 0 2  65.07  17.2
8 2 1  70.81  18.5

Entry 10:
# Ba4Ca6Cl19
Simulated X-ray powder pattern, copper Kα. Input: a crystal structure in Alexandria, relaxed with PBE.
Lines closer than 0.1° are merged.

Atomic structure:
```
data_Ba4Ca6Cl19
_symmetry_space_group_name_H-M 'I 2 3'
_symmetry_Int_Tables_number 197
_symmetry_space_group_name_Hall 'I 2 2 3'
_cell_length_a 11.853
_cell_length_b 11.853
_cell_length_c 11.853
_cell_angle_alpha 90.00
_cell_angle_beta 90.00
_cell_angle_gamma 90.00
loop_
_atom_site_label
_atom_site_type_symbol
_atom_site_fract_x
_atom_site_fract_y
_atom_site_fract_z
Ba1 Ba 0.162 0.162 0.838
Ca1 Ca 0.000 0.336 0.500
Cl1 Cl 0.000 0.000 0.000
Cl2 Cl 0.000 0.000 0.331
Cl3 Cl 0.065 0.309 0.283
```

Principal peaks in the range 10° ≤ 2θ ≤ 90°, sorted by position:
index  Position (°2θ)  I_rel
2 1 1  18.33  55.2
3 1 0  23.74  15.6
3 2 1  28.17  20.1
3 3 0  32.04  100.0
4 2 2  37.16  18.8
4 1 3  38.74  20.5
5 2 1  41.74  15.0
6 0 0  45.94  22.6
6 3 3  57.10  25.7
7 1 4  63.79  10.8
6 6 0  66.99  12.4
9 3 0  76.20  10.2

Entry 11:
# ErBi12O20
Simulated X-ray powder pattern, copper Kα. Input: a crystal structure in Alexandria, relaxed with PBE.
Lines closer than 0.1° are merged.

Atomic structure:
```
data_ErBi12O20
_symmetry_space_group_name_H-M 'I 2 3'
_symmetry_Int_Tables_number 197
_symmetry_space_group_name_Hall 'I 2 2 3'
_cell_length_a 10.313
_cell_length_b 10.313
_cell_length_c 10.313
_cell_angle_alpha 90.00
_cell_angle_beta 90.00
_cell_angle_gamma 90.00
loop_
_atom_site_label
_atom_site_type_symbol
_atom_site_fract_x
_atom_site_fract_y
_atom_site_fract_z
Er1 Er 0.000 0.000 0.000
Bi1 Bi 0.004 0.175 0.317
O1 O 0.013 0.367 0.747
O2 O 0.121 0.121 0.879
O3 O 0.170 0.170 0.170
```

Principal peaks in the range 10° ≤ 2θ ≤ 90°, sorted by position:
index  Position (°2θ)  I_rel
2 2 0  24.41  16.3
3 1 0  27.35  100.0
2 2 2  30.01  24.0
3 2 1  32.48  69.9
4 1 3  44.81  16.0
5 0 3  51.68  43.4
6 0 0  53.30  20.7
5 3 2  54.88  29.0
6 3 1  60.93  21.9
6 3 5  77.42  18.6
6 6 0  78.73  17.0
8 1 3  80.04  13.0

Entry 12:
# CaAlBrO2
Simulated X-ray powder pattern, copper Kα. Input: a crystal structure in Alexandria, relaxed with PBE.
Lines closer than 0.1° are merged.

Atomic structure:
```
data_CaAlBrO2
_symmetry_space_group_name_H-M 'P 1 21/m 1'
_symmetry_Int_Tables_number 11
_cell_length_a 6.575
_cell_length_b 3.836
_cell_length_c 7.508
_cell_angle_alpha 90.00
_cell_angle_beta 100.33
_cell_angle_gamma 90.00
loop_
_symmetry_equiv_pos_as_xyz
'x,y,z'
'-x,-y,-z'
'-x,y+1/2,-z'
'x,-y+1/2,z'
loop_
_atom_site_label
_atom_site_type_symbol
_atom_site_fract_x
_atom_site_fract_y
_atom_site_fract_z
Ca1 Ca 0.200 0.250 0.116
Al1 Al 0.046 0.250 0.641
Br1 Br 0.432 0.250 0.756
O1 O 0.006 0.750 0.607
O2 O 0.040 0.750 0.150
```

Principal peaks in the range 10° ≤ 2θ ≤ 90°, sorted by position:
index  Position (°2θ)  I_rel
0 0 2  24.10  56.2
1 0 -2  25.54  100.0
0 1 1  26.18  78.8
1 1 0  27.03  72.1
1 1 1  30.67  61.6
2 0 1  32.14  50.8
2 1 -1  36.70  66.8
2 1 -2  41.05  43.9
3 0 -1  41.47  43.2
0 1 3  43.68  39.5
0 2 0  47.40  40.1
3 1 2  58.45  34.6